Diffraction record for Se2S2O7. The powder diffraction line list is calculated, not measured: it uses a crystal structure in the Materials Project, relaxed with PBE and Cu Kα (weighted mean of Kα1 and Kα2).

The 10 most intense peaks (2θ = 10–90°), by angle:
hkl 0 0 2, d = 8.321 Å, intensity 92
hkl 0 1 2, d = 4.787 Å, intensity 60
hkl 1 1 1, d = 4.190 Å, intensity 55
hkl 0 1 3, d = 4.026 Å, intensity 100
hkl 1 1 2, d = 3.694 Å, intensity 48
hkl 1 1 -4, d = 3.457 Å, intensity 68
hkl 0 1 4, d = 3.391 Å, intensity 60
hkl 2 1 -1, d = 3.218 Å, intensity 55
hkl 0 1 5, d = 2.893 Å, intensity 53
hkl 2 2 -2, d = 2.331 Å, intensity 46

Crystal structure
Unit cell a=7.765 b=5.853 c=17.659 alpha=90.00 beta=109.54 gamma=90.00
Fractional positions:
Se: 0.078 0.215 0.062
Se: 0.078 0.285 0.562
Se: 0.203 0.538 0.492
Se: 0.203 0.962 0.992
Se: 0.797 0.038 0.008
Se: 0.797 0.462 0.508
Se: 0.922 0.715 0.438
Se: 0.922 0.785 0.938
S: 0.217 0.657 0.247
S: 0.217 0.843 0.747
S: 0.400 0.553 0.885
S: 0.400 0.947 0.385
S: 0.600 0.053 0.615
S: 0.600 0.447 0.115
S: 0.783 0.157 0.253
S: 0.783 0.343 0.753
O: 0.096 0.577 0.289
O: 0.096 0.923 0.789
O: 0.127 0.708 0.162
O: 0.127 0.792 0.662
O: 0.253 0.584 0.919
O: 0.253 0.916 0.419
O: 0.299 0.597 0.784
O: 0.299 0.903 0.284
O: 0.370 0.002 0.758
O: 0.370 0.498 0.258
O: 0.458 0.228 0.589
O: 0.458 0.272 0.089
O: 0.461 0.179 0.385
O: 0.461 0.321 0.885
O: 0.539 0.679 0.115
O: 0.539 0.821 0.615
O: 0.542 0.728 0.911
O: 0.542 0.772 0.411
O: 0.630 0.502 0.742
O: 0.630 0.998 0.242
O: 0.701 0.097 0.716
O: 0.701 0.403 0.216
O: 0.747 0.084 0.581
O: 0.747 0.416 0.081
O: 0.873 0.208 0.338
O: 0.873 0.292 0.838
O: 0.904 0.077 0.211
O: 0.904 0.423 0.711